Structure and computed powder diffractogram of K8SbO3 (a cell relaxed with PBE; Cu Ka).
No peak broadening, texture or thermal motion is included.

Main lines, sorted by position (15° ≤ 2θ ≤ 90°):
- 17.81°, rel. 30.4
- 21.86°, rel. 33.1
- 25.29°, rel. 13.0
- 28.33°, rel. 34.8
- 31.10°, rel. 13.0
- 36.07°, rel. 100.0
- 42.57°, rel. 16.0
- 51.93°, rel. 14.3
- 53.65°, rel. 13.8
- 64.85°, rel. 25.2

Crystal structure
a = 7.044 Å, b = 7.044 Å, c = 7.044 Å
α = 90.00°, β = 90.00°, γ = 90.00°
Fractional positions:
1 K 0.230 0.230 0.230
2 K 0.230 0.230 0.770
3 K 0.230 0.770 0.230
4 K 0.230 0.770 0.770
5 K 0.770 0.230 0.230
6 K 0.770 0.230 0.770
7 K 0.770 0.770 0.230
8 K 0.770 0.770 0.770
9 Sb 0.500 0.500 0.500
10 O 0.000 0.000 0.500
11 O 0.000 0.500 0.000
12 O 0.500 0.000 0.000